Entry 1:
Li4SnPb: calculated powder diffractogram (Cu Kα), based on a structure optimized by DFT (GGA-PBE).
No peak broadening, texture or thermal motion is included.

Cell and atoms:
a b c (Å): 4.674 6.156 8.117
angles (deg): 90.00 90.00 90.00
Space group Immm (No. 71)
Symmetry-distinct sites (fractional):
Li1 0.000 0.246 0.166 (multiplicity 8)
Sn1 0.000 0.500 0.500 (multiplicity 2)
Pb1 0.000 0.000 0.500 (multiplicity 2)

Peak list (10 most intense, 2θ = 10–90°, by angle)
21.9°, d 4.053, intensity 100, hkl 1 0 1; 29.0°, d 3.078, intensity 16, hkl 0 2 0; 36.7°, d 2.451, intensity 63, hkl 1 2 1; 38.5°, d 2.340, intensity 29, hkl 2 0 0; 44.7°, d 2.027, intensity 16, hkl 2 0 2; 48.9°, d 1.863, intensity 23, hkl 2 2 0; 54.2°, d 1.693, intensity 21, hkl 2 2 2; 64.8°, d 1.439, intensity 11, hkl 1 4 1; 68.4°, d 1.372, intensity 14, hkl 2 2 4; 73.7°, d 1.286, intensity 9, hkl 2 4 0

Entry 2:
La4CdRe: calculated powder diffractogram (Cu Kα), based on a structure optimized by DFT (GGA-PBE).
No peak broadening, texture or thermal motion is included.

Cell and atoms:
a b c (Å): 9.208 13.679 6.405
angles (deg): 90.00 109.64 90.00
Space group C2/c (No. 15)
Symmetry-distinct sites (fractional):
La1 0.108 0.168 0.055 (multiplicity 8)
La2 0.220 0.422 0.375 (multiplicity 8)
Cd1 0.000 0.377 0.750 (multiplicity 4)
Re1 0.000 0.001 0.750 (multiplicity 4)

Peak list (10 most intense, 2θ = 10–90°, by angle)
12.1°, d 7.324, intensity 81, hkl 1 1 0; 12.9°, d 6.839, intensity 54, hkl 0 2 0; 28.6°, d 3.118, intensity 32, hkl 1 1 -2; 30.2°, d 2.962, intensity 75, hkl 3 1 -1; 32.0°, d 2.798, intensity 100, hkl 2 2 1; 32.7°, d 2.741, intensity 39, hkl 2 2 -2; 34.2°, d 2.620, intensity 70, hkl 1 3 -2; 34.4°, d 2.609, intensity 49, hkl 1 5 0; 35.5°, d 2.526, intensity 30, hkl 3 3 -1; 36.8°, d 2.441, intensity 35, hkl 3 3 0